Computed X-ray powder pattern
Compound: TbNd4Dy3S8
Radiation: Cu Kα, 1.54184 Å
Structure: a GGA-PBE-relaxed structure

Peak list (12 most intense, 10° ≤ 2θ ≤ 90°, by intensity)
2θ (°)  Rel. int.  index
31.70  1000  0 2 4
27.51  581  2 0 2
45.08  367  2 0 8
45.81  354  2 2 0
26.94  206  0 0 6
53.95  194  2 2 6
56.78  185  4 0 4
74.75  160  2 2 12
75.83  157  2 4 4
84.25  121  4 2 8
66.22  115  0 4 8
53.30  102  0 2 10

Atomic structure:
```
data_TbNd4Dy3S8
_chemical_formula_sum 'Tb3 Nd12 Dy9 S24'
_space_group_name_H-M_alt 'R -3 m'
_space_group_IT_number 166
_space_group_name_Hall '-R 3 2"'
_cell_length_a 7.9229
_cell_length_b 7.9229
_cell_length_c 19.8591
_cell_angle_alpha 90.00
_cell_angle_beta 90.00
_cell_angle_gamma 120.00
loop_
_atom_site_label
_atom_site_type_symbol
_atom_site_fract_x
_atom_site_fract_y
_atom_site_fract_z
Tb1 Tb 0.0000 0.0000 0.0000
Nd1 Nd 0.0000 0.0000 0.5000
Nd2 Nd 0.0000 0.5000 0.5000
Dy1 Dy 0.0000 0.5000 0.0000
S1 S 0.0000 0.0000 0.2555
S2 S 0.0011 0.5005 0.2553
```